Record 1
Structure and theoretical powder diffraction line list of Cu2GeS3 (a crystal structure in the Materials Project, relaxed with PBE; Cu Kα (λ = 1.5418 Å)).
No peak broadening, texture or thermal motion is included.

The 6 most intense peaks (10° ≤ 2θ ≤ 90°), by intensity:
two_theta	Rel. int.
29.13	100.0
48.36	53.4
29.02	34.8
48.61	26.4
57.51	21.8
57.35	17.5

Structural model:
Unit cell a=6.5111 b=6.5111 c=6.5153 alpha=99.39 beta=99.39 gamma=120.35
Fractional positions:
Cu  0.0846  0.9154  0.5000
Cu  0.2453  0.7416  0.0001
Cu  0.7416  0.2453  0.5001
Cu  0.9154  0.0846  0.0000
Ge  0.3912  0.5662  0.4807
Ge  0.5662  0.3912  0.9807
S  0.0280  0.1972  0.3739
S  0.1972  0.0280  0.8739
S  0.3694  0.8654  0.3721
S  0.5365  0.7032  0.8675
S  0.7032  0.5365  0.3675
S  0.8654  0.3694  0.8721

***

Record 2
Structure and theoretical powder diffraction line list of Cu2GeS4 (a crystal structure in the Materials Project, relaxed with PBE; Cu Kα (λ = 1.5418 Å)).
No peak broadening, texture or thermal motion is included.

The 6 most intense peaks (10° ≤ 2θ ≤ 90°), by intensity:
two_theta	Rel. int.
29.80	100.0
50.22	40.2
57.97	27.1
18.94	25.4
48.50	22.5
61.00	11.5

Structural model:
Unit cell a=5.3087 b=5.3087 c=9.9664 alpha=90.00 beta=90.00 gamma=90.00
Fractional positions:
Cu  0.0000  0.5000  0.2500
Cu  0.0000  0.5000  0.7500
Cu  0.5000  0.0000  0.2500
Cu  0.5000  0.0000  0.7500
Ge  0.0000  0.0000  0.0000
Ge  0.5000  0.5000  0.5000
S  0.2462  0.2462  0.6224
S  0.2462  0.7538  0.3776
S  0.2538  0.2538  0.1224
S  0.2538  0.7462  0.8776
S  0.7462  0.2538  0.8776
S  0.7462  0.7462  0.1224
S  0.7538  0.2462  0.3776
S  0.7538  0.7538  0.6224

***

Record 3
Structure and theoretical powder diffraction line list of Cu2GeS3 (a crystal structure in the Materials Project, relaxed with PBE; Cu Kα (λ = 1.5418 Å)).
No peak broadening, texture or thermal motion is included.

The 6 most intense peaks (10° ≤ 2θ ≤ 90°), by intensity:
two_theta	Rel. int.
29.14	100.0
48.50	59.2
57.58	39.0
78.54	14.7
33.77	11.8
71.06	5.7

Structural model:
Unit cell a=12.4493 b=6.5047 c=11.8668 alpha=79.50 beta=30.91 gamma=69.59
Fractional positions:
Cu  0.0000  0.0000  0.0000
Cu  0.2500  0.2500  0.2500
Cu  0.3314  0.6552  0.3343
Cu  0.4949  0.4949  0.5051
Cu  0.5709  0.9157  0.5948
Cu  0.6552  0.3314  0.6791
Cu  0.7449  0.7449  0.7551
Cu  0.9157  0.5709  0.9186
Ge  0.0908  0.4001  0.0717
Ge  0.1783  0.8126  0.1592
Ge  0.4001  0.0908  0.4374
Ge  0.8126  0.1783  0.8499
S  0.0340  0.2022  0.3013
S  0.1169  0.6255  0.3803
S  0.2022  0.0340  0.4625
S  0.2890  0.4574  0.5441
S  0.3728  0.8697  0.6245
S  0.4574  0.2890  0.7096
S  0.5404  0.7059  0.7926
S  0.6255  0.1169  0.8772
S  0.7059  0.5404  0.9610
S  0.7875  0.9487  0.0478
S  0.8697  0.3728  0.1331
S  0.9487  0.7875  0.2160